Entry 1:
Starting from a PBE-relaxed structure, the powder diffractogram of Np3Pa2Se8 was simulated for λ = 1.5418 Å (Cu Kα).

Peak list (6 most intense, 2θ from 10° to 80°, by intensity)
index	2theta	d [Å]	Rel. int.
2 4 1	36.68	2.450	1000
0 0 2	36.18	2.483	269
0 2 1	22.05	4.032	261
2 2 0	22.35	3.978	258
4 0 0	36.94	2.433	233
4 8 0	66.39	1.408	232

Cell and atoms:
Cell: 9.734 13.813 4.966 Å, 90.00 90.00 90.00°
Space group Cmmm (No. 65)
Inequivalent atoms, fractional coordinates:
Np: 0.000 0.000 0.000 (multiplicity 2)
Np: 0.227 0.500 0.500 (multiplicity 4)
Pa: 0.000 0.257 0.000 (multiplicity 4)
Se: 0.000 0.120 0.500 (multiplicity 4)
Se: 0.000 0.366 0.500 (multiplicity 4)
Se: 0.246 0.124 0.000 (multiplicity 8)



Entry 2:
Starting from a PBE-relaxed structure, the powder diffractogram of CaPrTl4 was simulated for λ = 1.5418 Å (Cu Kα).

Peak list (6 most intense, 2θ from 10° to 80°, by intensity)
index	2theta	d [Å]	Rel. int.
1 0 -2	30.47	2.933	1000
1 1 2	30.33	2.947	508
1 -1 0	34.50	2.600	382
1 2 0	35.06	2.559	365
2 1 0	35.20	2.550	362
3 3 0	63.42	1.467	175

Cell and atoms:
Cell: 5.101 5.121 7.823 Å, 89.13 89.27 61.16°
Space group P-1 (No. 2)
Inequivalent atoms, fractional coordinates:
Ca: 0.000 0.000 0.000 (multiplicity 1)
Pr: 0.000 0.000 0.500 (multiplicity 1)
Tl: 0.333 0.333 0.685 (multiplicity 2)
Tl: 0.334 0.332 0.189 (multiplicity 2)



Entry 3:
Starting from a PBE-relaxed structure, the powder diffractogram of MgMn22C6 was simulated for λ = 1.5418 Å (Cu Kα).

Peak list (6 most intense, 2θ from 10° to 80°, by intensity)
index	2theta	d [Å]	Rel. int.
3 3 3	45.18	2.007	1000
5 3 1	51.88	1.763	371
4 2 0	38.62	2.332	316
4 2 2	42.47	2.128	242
4 4 0	49.45	1.843	232
6 6 0	77.71	1.229	216

Cell and atoms:
Cell: 10.427 10.427 10.427 Å, 90.00 90.00 90.00°
Space group Fm-3m (No. 225)
Inequivalent atoms, fractional coordinates:
Mg: 0.000 0.000 0.000 (multiplicity 4)
Mn: 0.000 0.173 0.173 (multiplicity 48)
Mn: 0.117 0.117 0.383 (multiplicity 32)
Mn: 0.250 0.250 0.250 (multiplicity 8)
C: 0.000 0.000 0.274 (multiplicity 24)



Entry 4:
Starting from a PBE-relaxed structure, the powder diffractogram of KCuAsO4 was simulated for λ = 1.5418 Å (Cu Kα).

Peak list (6 most intense, 2θ from 10° to 80°, by intensity)
index	2theta	d [Å]	Rel. int.
1 0 1	19.95	4.450	1000
1 1 2	34.06	2.633	806
2 0 0	30.38	2.943	376
3 1 2	56.36	1.632	346
2 0 4	63.18	1.472	199
1 2 1	36.61	2.454	193

Cell and atoms:
Cell: 5.885 5.885 6.799 Å, 90.00 90.00 90.00°
Space group I-4 (No. 82)
Inequivalent atoms, fractional coordinates:
K: 0.000 0.000 0.000 (multiplicity 2)
Cu: 0.000 0.000 0.500 (multiplicity 2)
As: 0.000 0.500 0.250 (multiplicity 2)
O: 0.120 0.717 0.387 (multiplicity 8)



Entry 5:
Starting from a PBE-relaxed structure, the powder diffractogram of Ba5Na2Au2 was simulated for λ = 1.5418 Å (Cu Kα).

Peak list (6 most intense, 2θ from 10° to 80°, by intensity)
index	2theta	d [Å]	Rel. int.
1 3 1	31.80	2.814	1000
4 2 1	28.28	3.156	969
5 1 2	31.21	2.866	762
3 1 2	25.73	3.462	661
4 0 2	26.42	3.373	432
9 3 1	51.53	1.774	356

Cell and atoms:
Cell: 20.433 8.971 8.995 Å, 90.00 90.00 90.00°
Space group Cmce (No. 64)
Inequivalent atoms, fractional coordinates:
Ba: 0.000 0.000 0.000 (multiplicity 4)
Ba: 0.111 0.169 0.331 (multiplicity 16)
Na: 0.222 0.000 0.000 (multiplicity 8)
Au: 0.000 0.131 0.630 (multiplicity 8)



Entry 6:
Starting from a PBE-relaxed structure, the powder diffractogram of Ce3Zn8Pd3 was simulated for λ = 1.5418 Å (Cu Kα).

Peak list (6 most intense, 2θ from 10° to 80°, by intensity)
index	2theta	d [Å]	Rel. int.
1 2 3	35.16	2.553	1000
2 0 0	41.91	2.155	536
1 3 0	35.58	2.523	405
2 3 3	56.12	1.639	154
1 6 3	67.61	1.386	153
1 0 5	40.65	2.219	153

Cell and atoms:
Cell: 4.308 9.334 12.949 Å, 90.00 90.00 90.00°
Space group Immm (No. 71)
Inequivalent atoms, fractional coordinates:
Ce: 0.000 0.000 0.000 (multiplicity 2)
Ce: 0.000 0.000 0.323 (multiplicity 4)
Zn: 0.000 0.276 0.127 (multiplicity 8)
Zn: 0.000 0.362 0.321 (multiplicity 8)
Pd: 0.000 0.228 0.500 (multiplicity 4)
Pd: 0.000 0.500 0.000 (multiplicity 2)